Entry 1:
Computed X-ray diffraction stick pattern
Compound: Rb3In11
Radiation: λ = 1.5418 Å (Cu Kα)
Structure: the GGA-PBE geometry in Alexandria
Lines closer than 0.1° are merged.

Structural model:
Unit cell a=9.8086 b=9.8086 c=9.8086 alpha=149.35 beta=108.03 gamma=80.22
Positions (direct):
Rb (0.0000, 0.0000, 0.0000)
Rb (0.3003, 0.3003, 0.0000)
Rb (0.6997, 0.6997, 0.0000)
In (0.0247, 0.6610, 0.3638)
In (0.1355, 0.8571, 0.2784)
In (0.2972, 0.6610, 0.6362)
In (0.3130, 0.5000, 0.8130)
In (0.4213, 0.1429, 0.2784)
In (0.5000, 0.0000, 0.5000)
In (0.5787, 0.8571, 0.7216)
In (0.6870, 0.5000, 0.1870)
In (0.7028, 0.3390, 0.3638)
In (0.8645, 0.1429, 0.7216)
In (0.9753, 0.3390, 0.6362)

Most intense lines, 2θ = 15–90°, by angle:
d = 3.052 Å, 29.26°, intensity 100; d = 2.855 Å, 31.33°, intensity 38; d = 2.593 Å, 34.59°, intensity 54; d = 2.500 Å, 35.91°, intensity 27; d = 2.484 Å, 36.16°, intensity 26; d = 2.384 Å, 37.74°, intensity 26

Entry 2:
Computed X-ray diffraction stick pattern
Compound: BaLa14Pr
Radiation: λ = 1.5418 Å (Cu Kα)
Structure: the GGA-PBE geometry in Alexandria
Lines closer than 0.1° are merged.

Structural model:
Unit cell a=7.5052 b=7.5052 c=10.5848 alpha=90.00 beta=90.00 gamma=90.00
Positions (direct):
Ba (0.0000, 0.0000, 0.0000)
La (0.0000, 0.0000, 0.5000)
La (0.0000, 0.5000, 0.0000)
La (0.0000, 0.5000, 0.5000)
La (0.2582, 0.2582, 0.2568)
La (0.2582, 0.2582, 0.7432)
La (0.2582, 0.7418, 0.2568)
La (0.2582, 0.7418, 0.7432)
La (0.5000, 0.0000, 0.0000)
La (0.5000, 0.0000, 0.5000)
La (0.5000, 0.5000, 0.5000)
La (0.7418, 0.2582, 0.2568)
La (0.7418, 0.2582, 0.7432)
La (0.7418, 0.7418, 0.2568)
La (0.7418, 0.7418, 0.7432)
Pr (0.5000, 0.5000, 0.0000)

Most intense lines, 2θ = 15–90°, by angle:
d = 3.061 Å, 29.17°, intensity 100; d = 2.651 Å, 33.81°, intensity 51; d = 1.875 Å, 48.57°, intensity 36; d = 1.600 Å, 57.62°, intensity 29; d = 1.597 Å, 57.75°, intensity 14; d = 1.531 Å, 60.49°, intensity 12

Entry 3:
Computed X-ray diffraction stick pattern
Compound: Cs2K17Na3
Radiation: λ = 1.5418 Å (Cu Kα)
Structure: the GGA-PBE geometry in Alexandria
Lines closer than 0.1° are merged.

Structural model:
Unit cell a=11.9635 b=11.9635 c=11.9635 alpha=82.81 beta=82.81 gamma=82.81
Positions (direct):
Cs (0.1654, 0.1654, 0.1654)
Cs (0.8346, 0.8346, 0.8346)
K (0.0000, 0.5000, 0.5000)
K (0.1615, 0.1615, 0.6762)
K (0.1615, 0.6762, 0.1615)
K (0.2329, 0.5000, 0.7671)
K (0.2329, 0.7671, 0.5000)
K (0.3238, 0.8385, 0.8385)
K (0.3961, 0.3961, 0.3961)
K (0.5000, 0.0000, 0.5000)
K (0.5000, 0.2329, 0.7671)
K (0.5000, 0.5000, 0.0000)
K (0.5000, 0.7671, 0.2329)
K (0.6039, 0.6039, 0.6039)
K (0.6762, 0.1615, 0.1615)
K (0.7671, 0.2329, 0.5000)
K (0.7671, 0.5000, 0.2329)
K (0.8385, 0.3238, 0.8385)
K (0.8385, 0.8385, 0.3238)
Na (0.0000, 0.0000, 0.5000)
Na (0.0000, 0.5000, 0.0000)
Na (0.5000, 0.0000, 0.0000)

Most intense lines, 2θ = 15–90°, by angle:
d = 5.527 Å, 16.04°, intensity 45; d = 3.956 Å, 22.47°, intensity 100; d = 3.932 Å, 22.61°, intensity 86; d = 3.861 Å, 23.03°, intensity 89; d = 2.789 Å, 32.09°, intensity 47; d = 2.763 Å, 32.40°, intensity 62